# VAgPO6
Theoretical PXRD pattern, Cu Kα X-rays. Input: DFT lattice parameters and positions (GGA+U).

Main lines, sorted by position (2θ = 15–90°):
21.25°, d = 4.181 Å, rel. 226; 27.18°, d = 3.281 Å, rel. 1000; 27.94°, d = 3.194 Å, rel. 943; 29.21°, d = 3.058 Å, rel. 786; 36.82°, d = 2.441 Å, rel. 422; 40.71°, d = 2.217 Å, rel. 181; 46.06°, d = 1.971 Å, rel. 184; 51.39°, d = 1.778 Å, rel. 232; 52.12°, d = 1.755 Å, rel. 185; 54.50°, d = 1.684 Å, rel. 342; 60.38°, d = 1.533 Å, rel. 188; 61.45°, d = 1.509 Å, rel. 204

Crystal structure
abc: 4.887 4.887 4.854
angles: 92.30 92.30 120.93
Fractional positions:
V  0.000  0.000  0.000
Ag  0.678  0.322  0.500
P  0.339  0.661  0.000
O  0.044  0.678  0.804
O  0.080  0.371  0.204
O  0.285  0.341  0.797
O  0.322  0.956  0.196
O  0.629  0.920  0.796
O  0.659  0.715  0.203